Pr3ReO7: computed powder diffractogram (Cu Kα (weighted mean of Kα1 and Kα2)), based on a DFT-relaxed cell (PBE, the Materials Project).
Intensities are scaled so that the largest is 100.

The 10 most intense peaks (15 to 90 degrees two-theta), low angle first:
d/Å  Position (°2θ)  I (rel.)
3.158  28.3  100
3.122  28.6  85
2.893  30.9  11
2.771  32.3  22
2.695  33.2  42
1.932  47.0  46
1.922  47.3  17
1.637  56.2  29
1.622  56.8  14
1.249  76.3  12

Cell lengths 11.082, 7.559, 7.687 Å; angles 90.00, 90.00, 90.00 degrees
Space group Cmcm (No. 63)
Symmetry-distinct sites (fractional):
Pr  0.000  0.000  0.000 (multiplicity 4)
Pr  0.223  0.304  0.250 (multiplicity 8)
Re  0.000  0.500  0.000 (multiplicity 4)
O  0.000  0.423  0.250 (multiplicity 4)
O  0.125  0.316  0.537 (multiplicity 16)
O  0.131  0.025  0.250 (multiplicity 8)

---

Pr3RuO7: computed powder diffractogram (Cu Kα (weighted mean of Kα1 and Kα2)), based on a DFT-relaxed cell (PBE, the Materials Project).
Intensities are scaled so that the largest is 100.

The 10 most intense peaks (15 to 90 degrees two-theta), low angle first:
d/Å  Position (°2θ)  I (rel.)
3.372  26.4  16
3.149  28.3  100
3.108  28.7  79
2.880  31.1  17
2.770  32.3  20
2.681  33.4  37
2.048  44.2  13
1.926  47.2  41
1.914  47.5  18
1.630  56.5  23

Cell lengths 11.079, 7.511, 7.656 Å; angles 90.00, 90.00, 90.00 degrees
Space group Cmcm (No. 63)
Symmetry-distinct sites (fractional):
Pr  0.000  0.000  0.000 (multiplicity 4)
Pr  0.220  0.309  0.250 (multiplicity 8)
Ru  0.000  0.500  0.000 (multiplicity 4)
O  0.000  0.419  0.250 (multiplicity 4)
O  0.125  0.315  0.540 (multiplicity 16)
O  0.131  0.028  0.250 (multiplicity 8)

---

PrSO: computed powder diffractogram (Cu Kα (weighted mean of Kα1 and Kα2)), based on a DFT-relaxed cell (PBE, the Materials Project).
Intensities are scaled so that the largest is 100.

The 10 most intense peaks (15 to 90 degrees two-theta), low angle first:
d/Å  Position (°2θ)  I (rel.)
3.980  22.3  27
3.024  29.5  100
2.952  30.3  29
2.196  41.1  27
2.088  43.3  17
1.849  49.3  16
1.761  51.9  24
1.718  53.3  24
1.326  71.1  12
1.131  85.9  9

Cell lengths 13.160, 5.908, 5.902 Å; angles 90.00, 90.00, 90.00 degrees
Space group Cmce (No. 64)
Symmetry-distinct sites (fractional):
Pr  0.161  0.000  0.000 (multiplicity 8)
S  0.000  0.127  0.373 (multiplicity 8)
O  0.250  0.246  0.750 (multiplicity 8)

---

PrSO: computed powder diffractogram (Cu Kα (weighted mean of Kα1 and Kα2)), based on a DFT-relaxed cell (PBE, the Materials Project).
Intensities are scaled so that the largest is 100.

The 10 most intense peaks (15 to 90 degrees two-theta), low angle first:
d/Å  Position (°2θ)  I (rel.)
4.371  20.3  38
3.126  28.6  78
3.000  29.8  58
2.872  31.1  100
2.177  41.5  23
1.978  45.9  23
1.961  46.3  18
1.809  50.5  22
1.725  53.1  34
1.661  55.3  25

Cell lengths 3.921, 4.658, 12.653 Å; angles 90.00, 90.00, 90.00 degrees
Space group Immm (No. 71)
Symmetry-distinct sites (fractional):
Pr  0.000  0.000  0.163 (multiplicity 4)
S  0.000  0.222  0.500 (multiplicity 4)
O  0.000  0.500  0.233 (multiplicity 4)

---

Pr2S3O12: computed powder diffractogram (Cu Kα (weighted mean of Kα1 and Kα2)), based on a DFT-relaxed cell (PBE, the Materials Project).
Intensities are scaled so that the largest is 100.

The 10 most intense peaks (15 to 90 degrees two-theta), low angle first:
d/Å  Position (°2θ)  I (rel.)
5.197  17.1  100
4.464  19.9  97
3.529  25.2  74
3.034  29.4  72
3.023  29.5  44
2.960  30.2  39
2.881  31.0  38
2.802  31.9  55
2.450  36.7  36
1.928  47.1  43

Cell lengths 21.767, 6.795, 7.062 Å; angles 90.00, 107.25, 90.00 degrees
Space group C2/c (No. 15)
Symmetry-distinct sites (fractional):
Pr  0.132  0.148  0.130 (multiplicity 8)
S  0.000  0.164  0.250 (multiplicity 4)
S  0.183  0.317  0.678 (multiplicity 8)
O  0.024  0.284  0.111 (multiplicity 8)
O  0.056  0.036  0.356 (multiplicity 8)
O  0.147  0.498  0.124 (multiplicity 8)
O  0.152  0.190  0.800 (multiplicity 8)
O  0.177  0.196  0.497 (multiplicity 8)
O  0.250  0.146  0.210 (multiplicity 8)

---

Pr2S3O20: computed powder diffractogram (Cu Kα (weighted mean of Kα1 and Kα2)), based on a DFT-relaxed cell (PBE, the Materials Project).
Intensities are scaled so that the largest is 100.

The 10 most intense peaks (15 to 90 degrees two-theta), low angle first:
d/Å  Position (°2θ)  I (rel.)
5.874  15.1  60
5.050  17.6  59
4.981  17.8  100
4.950  17.9  70
3.465  25.7  37
3.321  26.8  29
3.257  27.4  76
2.843  31.5  39
2.259  39.9  34
2.103  43.0  28

Cell lengths 11.124, 6.929, 20.019 Å; angles 90.00, 95.53, 90.00 degrees
Space group C2/c (No. 15)
Symmetry-distinct sites (fractional):
Pr  0.158  0.012  0.389 (multiplicity 8)
S  0.000  0.237  0.250 (multiplicity 4)
S  0.195  0.016  0.080 (multiplicity 8)
O  0.009  0.293  0.629 (multiplicity 8)
O  0.009  0.306  0.418 (multiplicity 8)
O  0.026  0.365  0.193 (multiplicity 8)
O  0.083  0.011  0.117 (multiplicity 8)
O  0.104  0.113  0.275 (multiplicity 8)
O  0.112  0.462  0.571 (multiplicity 8)
O  0.159  0.019  0.007 (multiplicity 8)
O  0.163  0.410  0.678 (multiplicity 8)
O  0.231  0.343  0.401 (multiplicity 8)
O  0.235  0.310  0.899 (multiplicity 8)